Starting from a DFT-relaxed cell (PBE, Alexandria), the X-ray diffraction stick pattern of La2CuP3Pd4 was computed for Cu Kα.
Lines closer than 0.1° are merged.

Principal peaks in the range 5° ≤ 2θ ≤ 70°, sorted by position:
h k l	2θ (°)	Rel. int.
1 0 2	27.6	14
1 1 0	29.5	12
1 1 1	30.8	21
1 0 3	34.4	65
1 1 2	34.7	100
2 0 0	42.1	62
1 1 4	47.6	11
1 0 5	51.0	26
2 1 3	55.5	32
2 2 0	61.1	20
1 1 6	64.6	16
2 1 5	68.3	18

Atomic structure:
```
data_La2CuP3Pd4
_chemical_formula_sum 'La2 Cu1 P3 Pd4'
_symmetry_space_group_name_H-M 'P 1'
_symmetry_Int_Tables_number 1
_symmetry_space_group_name_Hall 'P 1'
_cell_length_a 4.2892
_cell_length_b 4.2892
_cell_length_c 9.8470
_cell_angle_alpha 90.00
_cell_angle_beta 90.00
_cell_angle_gamma 90.00
loop_
_atom_site_label
_atom_site_fract_x
_atom_site_fract_y
_atom_site_fract_z
La1 0.0000 0.5000 0.2495
La2 0.5000 0.0000 0.7505
Cu1 0.0000 0.0000 0.5000
P1 0.0000 0.5000 0.8652
P2 0.5000 0.0000 0.1348
P3 0.5000 0.5000 0.5000
Pd1 0.0000 0.0000 0.0000
Pd2 0.0000 0.5000 0.6228
Pd3 0.5000 0.0000 0.3772
Pd4 0.5000 0.5000 0.0000
```